Theoretical powder XRD pattern of Li2Cr2P4H3O16 for Cu Kα, 1.54184 Å, from a GGA+U-relaxed structure.

Largest 12 diffraction maxima, sorted by position, 15 to 90 degrees two-theta:
(0 1 -1), 16.41°, 5.402 Å, I = 96; (1 1 1), 22.51°, 3.949 Å, I = 28; (1 1 -1), 22.77°, 3.906 Å, I = 37; (1 -1 0), 24.61°, 3.617 Å, I = 100; (0 1 -2), 25.24°, 3.529 Å, I = 64; (1 -1 1), 26.88°, 3.317 Å, I = 19; (1 0 2), 28.76°, 3.104 Å, I = 20; (1 2 1), 29.27°, 3.051 Å, I = 59; (1 2 -1), 29.49°, 3.029 Å, I = 71; (0 2 -2), 33.13°, 2.704 Å, I = 25; (0 2 2), 33.23°, 2.696 Å, I = 35; (1 1 3), 38.74°, 2.324 Å, I = 21

Atomic structure:
a b c (Å): 4.9025 7.4710 8.0737
angles (deg): 89.95 89.12 76.51
Space group P1 (No. 1)
Asymmetric unit:
Li 0.0000 0.0000 0.0000 (multiplicity 1)
Li 0.1965 0.6956 0.2531 (multiplicity 1)
Cr 0.1053 0.8467 0.6282 (multiplicity 1)
Cr 0.6059 0.3493 0.1268 (multiplicity 1)
P 0.2306 0.0927 0.2879 (multiplicity 1)
P 0.4916 0.0991 0.7894 (multiplicity 1)
P 0.7172 0.5949 0.4660 (multiplicity 1)
P 0.9791 0.6113 0.9711 (multiplicity 1)
H 0.0625 0.3660 0.5269 (multiplicity 1)
H 0.1572 0.3383 0.7461 (multiplicity 1)
H 0.5632 0.8688 0.1417 (multiplicity 1)
O 0.0572 0.6587 0.7946 (multiplicity 1)
O 0.1535 0.0330 0.4582 (multiplicity 1)
O 0.2429 0.5056 0.0682 (multiplicity 1)
O 0.2710 0.9811 0.8100 (multiplicity 1)
O 0.3459 0.2855 0.7001 (multiplicity 1)
O 0.3558 0.9106 0.1817 (multiplicity 1)
O 0.4349 0.2186 0.2987 (multiplicity 1)
O 0.4737 0.6894 0.5769 (multiplicity 1)
O 0.5944 0.1472 0.9599 (multiplicity 1)
O 0.6096 0.5508 0.2954 (multiplicity 1)
O 0.7361 0.0052 0.6795 (multiplicity 1)
O 0.7860 0.4748 0.9580 (multiplicity 1)
O 0.8603 0.4071 0.5521 (multiplicity 1)
O 0.8606 0.7855 0.0751 (multiplicity 1)
O 0.9391 0.7122 0.4469 (multiplicity 1)
O 0.9736 0.1872 0.1845 (multiplicity 1)